1.
This entry pairs a crystal structure of Na2CeSnCl8 with its theoretical powder diffraction line list. Radiation: λ = 1.5418 Å (Cu Kα). Structure: a cell relaxed with PBE.
Neutral-atom scattering factors, no anomalous dispersion.

Structural model:
```
data_Na2CeSnCl8
_space_group_name_H-M_alt 'P 1 2/m 1'
_space_group_IT_number 10
_space_group_name_Hall '-P 2y'
_cell_length_a 6.4929
_cell_length_b 8.5710
_cell_length_c 6.5788
_cell_angle_alpha 90.00
_cell_angle_beta 93.38
_cell_angle_gamma 90.00
loop_
_atom_site_label
_atom_site_fract_x
_atom_site_fract_y
_atom_site_fract_z
Na1 0.0000 0.2424 0.0000
Ce1 0.5000 0.5000 0.5000
Sn1 0.5000 0.0000 0.5000
Cl1 0.2075 0.0000 0.1916
Cl2 0.2141 0.5000 0.1967
Cl3 0.3045 0.2652 0.6774
```

Peak list (8 most intense, 10 to 90 degrees two-theta, in order of falling intensity)
28.03°, I 100.0
18.66°, I 80.5
13.48°, I 66.2
13.66°, I 63.9
19.80°, I 62.3
37.82°, I 46.9
36.76°, I 40.4
46.59°, I 36.1



2.
This entry pairs a crystal structure of ScBe2Ni with its theoretical powder diffraction line list. Radiation: λ = 1.5418 Å (Cu Kα). Structure: a cell relaxed with PBE.
Neutral-atom scattering factors, no anomalous dispersion.

Structural model:
```
data_ScBe2Ni
_space_group_name_H-M_alt 'F m -3 m'
_space_group_IT_number 225
_space_group_name_Hall '-F 4 2 3'
_cell_length_a 5.7333
_cell_length_b 5.7333
_cell_length_c 5.7333
_cell_angle_alpha 90.00
_cell_angle_beta 90.00
_cell_angle_gamma 90.00
loop_
_atom_site_label
_atom_site_fract_x
_atom_site_fract_y
_atom_site_fract_z
Sc1 0.0000 0.0000 0.0000
Be1 0.2500 0.2500 0.2500
Ni1 0.0000 0.0000 0.5000
```

Peak list (8 most intense, 10 to 90 degrees two-theta, in order of falling intensity)
44.71°, I 100.0
31.20°, I 91.4
82.41°, I 29.5
73.93°, I 25.0
55.52°, I 21.6
65.08°, I 14.9
26.94°, I 7.5
52.97°, I 3.8



3.
This entry pairs a crystal structure of CuPO4 with its theoretical powder diffraction line list. Radiation: λ = 1.5418 Å (Cu Kα). Structure: a cell relaxed with PBE.
Neutral-atom scattering factors, no anomalous dispersion.

Structural model:
```
data_CuPO4
_space_group_name_H-M_alt 'P n m a'
_space_group_IT_number 62
_space_group_name_Hall '-P 2ac 2n'
_cell_length_a 9.9564
_cell_length_b 6.0192
_cell_length_c 5.4852
_cell_angle_alpha 90.00
_cell_angle_beta 90.00
_cell_angle_gamma 90.00
loop_
_atom_site_label
_atom_site_fract_x
_atom_site_fract_y
_atom_site_fract_z
Cu1 0.1835 0.2500 0.1351
P1 0.1137 0.7500 0.0475
O1 0.0413 0.2500 0.9218
O2 0.1439 0.7500 0.7717
O3 0.1766 0.5540 0.1931
```

Peak list (8 most intense, 10 to 90 degrees two-theta, in order of falling intensity)
18.47°, I 100.0
29.68°, I 42.4
33.90°, I 38.1
24.14°, I 34.7
17.82°, I 34.4
28.39°, I 27.1
21.92°, I 25.3
35.19°, I 24.9



4.
This entry pairs a crystal structure of Cs3Na3Bi2 with its theoretical powder diffraction line list. Radiation: λ = 1.5418 Å (Cu Kα). Structure: a cell relaxed with PBE.
Neutral-atom scattering factors, no anomalous dispersion.

Structural model:
```
data_Cs3Na3Bi2
_space_group_name_H-M_alt 'P n m a'
_space_group_IT_number 62
_space_group_name_Hall '-P 2ac 2n'
_cell_length_a 10.8657
_cell_length_b 19.5409
_cell_length_c 7.4617
_cell_angle_alpha 90.00
_cell_angle_beta 90.00
_cell_angle_gamma 90.00
loop_
_atom_site_label
_atom_site_fract_x
_atom_site_fract_y
_atom_site_fract_z
Cs1 0.0368 0.0992 0.1132
Cs2 0.1729 0.2500 0.6116
Na1 0.1542 0.0370 0.6116
Na2 0.1556 0.7500 0.5278
Bi1 0.1293 0.6025 0.3762
```

Peak list (8 most intense, 10 to 90 degrees two-theta, in order of falling intensity)
27.35°, I 100.0
28.77°, I 46.6
19.85°, I 43.9
25.65°, I 40.8
41.24°, I 23.8
21.30°, I 23.5
18.16°, I 22.4
31.27°, I 21.2